1.
Starting from a DFT-relaxed cell (GGA+U, the Materials Project), the powder diffraction line list of Ba2Fe2ClF7 was simulated for λ = 1.5418 Å (Cu Kα).
No peak broadening, texture or thermal motion is included.

Atomic structure:
Cell: 8.0034 5.8275 9.1841 Å, 90.00 106.69 90.00°
Space group P2_1/m (No. 11)
Asymmetric unit:
Ba1 0.1654 0.2500 0.4121 (multiplicity 2)
Ba2 0.1949 0.2500 0.9255 (multiplicity 2)
Fe1 0.3159 0.7500 0.1745 (multiplicity 2)
Fe2 0.3251 0.7500 0.7339 (multiplicity 2)
Cl1 0.3828 0.7500 0.4698 (multiplicity 2)
F1 0.1261 0.5065 0.1609 (multiplicity 4)
F2 0.1348 0.5022 0.6523 (multiplicity 4)
F3 0.2427 0.7500 0.9330 (multiplicity 2)
F4 0.4950 0.0015 0.1694 (multiplicity 4)

Peak list (10 most intense, 2θ = 10–90°, most intense first)
d (Å)	I (rel.)	index
3.511	100	0 1 2
3.202	65	2 1 0
2.217	38	1 2 2
2.336	26	3 1 -2
2.296	26	1 0 -4
3.416	25	2 0 -2
3.833	24	2 0 0
2.914	24	0 2 0
1.866	22	3 1 -4
2.320	21	2 2 0

2.
Starting from a DFT-relaxed cell (GGA+U, the Materials Project), the powder diffraction line list of CrNiP2O8 was simulated for λ = 1.5418 Å (Cu Kα).
No peak broadening, texture or thermal motion is included.

Atomic structure:
Cell: 8.6388 8.6388 20.2293 Å, 90.00 90.00 120.00°
Space group R3 (No. 146, hexagonal axes)
Asymmetric unit:
Cr1 0.0000 0.0000 0.0000 (multiplicity 3)
Cr2 0.0000 0.0000 0.1438 (multiplicity 3)
Cr3 0.0000 0.0000 0.5007 (multiplicity 3)
Ni1 0.0000 0.0000 0.3594 (multiplicity 3)
Ni2 0.0000 0.0000 0.6432 (multiplicity 3)
Ni3 0.0000 0.0000 0.8584 (multiplicity 3)
P1 0.0002 0.7022 0.7516 (multiplicity 9)
P2 0.0008 0.2970 0.2520 (multiplicity 9)
O1 0.0066 0.8295 0.4310 (multiplicity 9)
O2 0.0098 0.1789 0.9300 (multiplicity 9)
O3 0.0157 0.2101 0.3149 (multiplicity 9)
O4 0.0169 0.8057 0.8144 (multiplicity 9)
O5 0.1311 0.6729 0.3548 (multiplicity 9)
O6 0.1483 0.4668 0.8567 (multiplicity 9)
O7 0.1659 0.4845 0.2365 (multiplicity 9)
O8 0.1678 0.6726 0.7413 (multiplicity 9)

Peak list (10 most intense, 2θ = 10–90°, most intense first)
d (Å)	I (rel.)	index
3.637	100	1 1 3
4.319	89	1 1 0
2.658	64	2 -1 6
2.494	44	3 0 0
1.885	33	3 -2 8
1.819	25	4 -2 6
1.633	25	4 1 0
1.469	21	5 -4 6
1.604	17	4 -1 8
4.190	16	1 0 4

3.
Starting from a DFT-relaxed cell (GGA+U, the Materials Project), the powder diffraction line list of CoMoO4 was simulated for λ = 1.5418 Å (Cu Kα).
No peak broadening, texture or thermal motion is included.

Atomic structure:
Cell: 9.7603 8.9858 7.8161 Å, 90.00 113.91 90.00°
Space group C2/m (No. 12)
Asymmetric unit:
Co1 0.0000 0.1885 0.0000 (multiplicity 4)
Co2 0.1905 0.0000 0.3411 (multiplicity 4)
Mo1 0.0000 0.2154 0.5000 (multiplicity 4)
Mo2 0.2157 0.0000 0.8584 (multiplicity 4)
O1 0.0028 0.1506 0.7380 (multiplicity 8)
O2 0.1496 0.0000 0.0594 (multiplicity 4)
O3 0.1515 0.0000 0.5852 (multiplicity 4)
O4 0.1554 0.3358 0.5764 (multiplicity 8)
O5 0.1623 0.3460 0.0814 (multiplicity 8)

Peak list (10 most intense, 2θ = 10–90°, most intense first)
d (Å)	I (rel.)	index
3.166	100	2 2 0
6.331	84	1 1 0
2.800	74	3 1 -2
3.585	53	2 0 -2
2.110	50	3 3 0
1.954	30	2 0 -4
2.787	24	1 1 2
3.573	17	0 0 2
1.630	16	5 3 -2
1.666	14	4 2 -4

Q: Which formula does entry 2 have?
A: CrNiP2O8